Mg6BWO8: theoretical powder diffractogram (Cu Kα, 1.54184 Å), based on a PBE+U-relaxed structure.
Kinematic intensities with the Lorentz-polarization factor, no thermal factor.

Cell and atoms:
abc: 4.317 4.317 8.774
angles: 90.00 90.00 90.00
Space group P4/mmm (No. 123)
Unique sites:
Mg (0.000, 0.000, 0.000) (multiplicity 1)
Mg (0.000, 0.500, 0.245) (multiplicity 4)
Mg (0.500, 0.500, 0.000) (multiplicity 1)
B (0.000, 0.000, 0.500) (multiplicity 1)
W (0.500, 0.500, 0.500) (multiplicity 1)
O (0.000, 0.000, 0.232) (multiplicity 2)
O (0.000, 0.500, 0.000) (multiplicity 2)
O (0.000, 0.500, 0.500) (multiplicity 2)
O (0.500, 0.500, 0.248) (multiplicity 2)

The 10 most intense peaks (5° ≤ 2θ ≤ 70°), sorted by position:
two_theta, d [Å], I_rel, index
10.08, 8.774, 82.9, 0 0 1
20.57, 4.317, 61.9, 1 0 0
22.96, 3.874, 100.0, 1 0 1
29.02, 3.077, 53.7, 1 0 2
31.02, 2.883, 28.7, 1 1 1
35.84, 2.506, 47.1, 1 1 2
41.15, 2.193, 38.9, 0 0 4
41.85, 2.159, 75.1, 2 0 0
48.26, 1.886, 28.8, 2 1 1
60.14, 1.539, 45.6, 2 0 4